Entry 1:
The following is a calculated powder diffractogram of NdLuAlTc. It was derived from the GGA-PBE geometry in Alexandria, using λ = 1.5418 Å (Cu Kα).

Most intense lines, 2θ = 15–90°, most intense first:
2θ (°)	I/Imax	h k l
35.9	100	2 2 0
64.5	36	4 2 2
25.2	22	2 0 0
51.6	18	4 0 0
87.0	16	6 2 0
76.0	11	4 4 0
58.3	9	4 2 0
21.7	8	1 1 1
44.3	7	2 2 2
81.6	5	6 0 0

Structure:
```
data_NdLuAlTc
_space_group_name_H-M_alt 'F -4 3 m'
_space_group_IT_number 216
_space_group_name_Hall 'F -4 2 3'
_cell_length_a 7.0814
_cell_length_b 7.0814
_cell_length_c 7.0814
_cell_angle_alpha 90.00
_cell_angle_beta 90.00
_cell_angle_gamma 90.00
loop_
_atom_site_label
_atom_site_type_symbol
_atom_site_fract_x
_atom_site_fract_y
_atom_site_fract_z
_atom_site_occupancy
Nd1 Nd 0.0000 0.0000 0.0000 1
Lu1 Lu 0.0000 0.0000 0.5000 1
Al1 Al 0.2500 0.2500 0.2500 1
Tc1 Tc 0.2500 0.2500 0.7500 1
```

---

Entry 2:
The following is a calculated powder diffractogram of LuAl8Ni3. It was derived from the GGA-PBE geometry in Alexandria, using λ = 1.5418 Å (Cu Kα).

Most intense lines, 2θ = 15–90°, most intense first:
2θ (°)	I/Imax	h k l
35.4	100	2 1 1
32.6	84	1 1 3
17.6	57	1 0 2
41.2	53	1 1 5
25.4	47	2 0 0
39.1	47	0 1 5
49.5	39	3 1 3
47.9	34	0 2 0
45.6	32	2 0 6
24.2	32	0 1 1

Structure:
```
data_LuAl8Ni3
_space_group_name_H-M_alt 'A m m 2'
_space_group_IT_number 38
_space_group_name_Hall 'A 2 -2'
_cell_length_a 7.0209
_cell_length_b 3.7971
_cell_length_c 14.4898
_cell_angle_alpha 90.00
_cell_angle_beta 90.00
_cell_angle_gamma 90.00
loop_
_atom_site_label
_atom_site_type_symbol
_atom_site_fract_x
_atom_site_fract_y
_atom_site_fract_z
_atom_site_occupancy
Lu1 Lu 0.0000 0.0000 0.0000 1
Al1 Al 0.0000 0.0000 0.8019 1
Al2 Al 0.1988 0.0000 0.1946 1
Al3 Al 0.2834 0.0000 0.3695 1
Al4 Al 0.3089 0.0000 0.5676 1
Al5 Al 0.5000 0.0000 0.9534 1
Ni1 Ni 0.0000 0.0000 0.6395 1
Ni2 Ni 0.5000 0.0000 0.1195 1
Ni3 Ni 0.5000 0.0000 0.7780 1
```

---

Entry 3:
The following is a calculated powder diffractogram of LuScAlPd. It was derived from the GGA-PBE geometry in Alexandria, using λ = 1.5418 Å (Cu Kα).

Most intense lines, 2θ = 15–90°, most intense first:
2θ (°)	I/Imax	h k l
37.0	100	2 2 0
22.4	44	1 1 1
66.7	35	4 2 2
43.7	24	3 1 1
53.4	17	4 0 0
78.8	11	4 4 0
58.6	10	3 3 1
83.2	8	5 3 1
71.4	8	5 1 1
25.9	7	2 0 0

Structure:
```
data_LuScAlPd
_space_group_name_H-M_alt 'F -4 3 m'
_space_group_IT_number 216
_space_group_name_Hall 'F -4 2 3'
_cell_length_a 6.8676
_cell_length_b 6.8676
_cell_length_c 6.8676
_cell_angle_alpha 90.00
_cell_angle_beta 90.00
_cell_angle_gamma 90.00
loop_
_atom_site_label
_atom_site_type_symbol
_atom_site_fract_x
_atom_site_fract_y
_atom_site_fract_z
_atom_site_occupancy
Lu1 Lu 0.0000 0.0000 0.0000 1
Sc1 Sc 0.0000 0.0000 0.5000 1
Al1 Al 0.2500 0.2500 0.2500 1
Pd1 Pd 0.2500 0.2500 0.7500 1
```

---

Entry 4:
The following is a calculated powder diffractogram of PrLu2Al. It was derived from the GGA-PBE geometry in Alexandria, using λ = 1.5418 Å (Cu Kα).

Most intense lines, 2θ = 15–90°, most intense first:
2θ (°)	I/Imax	h k l
32.5	100	1 0 2
36.2	46	1 1 0
27.3	32	1 0 1
62.8	30	2 1 2
47.7	22	1 1 3
30.0	19	0 0 3
57.9	19	1 0 5
52.2	16	2 0 0
81.7	14	2 1 5
25.4	13	1 0 0

Structure:
```
data_PrLu2Al
_space_group_name_H-M_alt 'P 4/m m m'
_space_group_IT_number 123
_space_group_name_Hall '-P 4 2'
_cell_length_a 3.5053
_cell_length_b 3.5053
_cell_length_c 8.9424
_cell_angle_alpha 90.00
_cell_angle_beta 90.00
_cell_angle_gamma 90.00
loop_
_atom_site_label
_atom_site_type_symbol
_atom_site_fract_x
_atom_site_fract_y
_atom_site_fract_z
_atom_site_occupancy
Pr1 Pr 0.0000 0.0000 0.0000 1
Lu1 Lu 0.5000 0.5000 0.2939 1
Al1 Al 0.0000 0.0000 0.5000 1
```